Theoretical XRD peak list
Compound: Ce5PuAu5
Radiation: Cu Kα (λ = 1.5418 Å)
Structure: a cell relaxed with PBE

Atomic structure:
```
Ce5PuAu5
1.0
-2.496 4.061 6.768
2.496 -4.061 6.768
2.496 4.061 -6.768
Ce Pu Au
5 1 5
Direct
0.000 0.000 0.000 Ce
0.072 0.366 0.706 Ce
0.340 0.634 0.706 Ce
0.660 0.366 0.294 Ce
0.928 0.634 0.294 Ce
0.000 0.500 0.500 Pu
0.228 0.228 0.000 Au
0.348 0.848 0.500 Au
0.500 0.500 0.000 Au
0.652 0.152 0.500 Au
0.772 0.772 0.000 Au
```

Largest 8 diffraction maxima, in order of rising 2θ, 10° ≤ 2θ ≤ 90°:
2θ 21.89, I 41
2θ 33.85, I 61
2θ 34.50, I 38
2θ 34.73, I 100
2θ 35.98, I 56
2θ 44.63, I 22
2θ 50.69, I 33
2θ 58.63, I 26

Theoretical XRD peak list
Compound: Sm5Ge2Bi2
Radiation: Cu Kα (λ = 1.5418 Å)
Structure: a cell relaxed with PBE

Atomic structure:
```
Sm5Ge2Bi2
1.0
7.862 -4.085 0.000
7.862 4.085 0.000
0.000 0.000 8.187
Sm Ge Bi
10 4 4
Direct
0.000 0.000 0.000 Sm
0.040 0.710 0.664 Sm
0.210 0.540 0.164 Sm
0.290 0.960 0.664 Sm
0.460 0.790 0.164 Sm
0.500 0.500 0.500 Sm
0.540 0.210 0.836 Sm
0.710 0.040 0.336 Sm
0.790 0.460 0.836 Sm
0.960 0.290 0.336 Sm
0.139 0.861 0.362 Ge
0.361 0.639 0.862 Ge
0.639 0.361 0.138 Ge
0.861 0.139 0.638 Ge
0.206 0.206 0.000 Bi
0.294 0.294 0.500 Bi
0.706 0.706 0.500 Bi
0.794 0.794 0.000 Bi
```

Largest 8 diffraction maxima, in order of rising 2θ, 10° ≤ 2θ ≤ 90°:
2θ 29.77, I 46
2θ 30.92, I 54
2θ 31.57, I 75
2θ 32.41, I 71
2θ 33.47, I 57
2θ 35.17, I 100
2θ 49.86, I 33
2θ 55.95, I 32

Theoretical XRD peak list
Compound: Li5Sn5Pd
Radiation: Cu Kα (λ = 1.5418 Å)
Structure: a cell relaxed with PBE

Atomic structure:
```
Li5Sn5Pd
1.0
-2.550 2.986 8.222
2.550 -2.986 8.222
2.550 2.986 -8.222
Li Sn Pd
5 5 1
Direct
0.000 0.000 0.000 Li
0.191 0.691 0.500 Li
0.304 0.304 0.000 Li
0.696 0.696 0.000 Li
0.809 0.309 0.500 Li
0.102 0.852 0.251 Sn
0.399 0.148 0.251 Sn
0.500 0.500 0.000 Sn
0.601 0.852 0.749 Sn
0.898 0.148 0.749 Sn
0.500 0.000 0.500 Pd
```

Largest 8 diffraction maxima, in order of rising 2θ, 10° ≤ 2θ ≤ 90°:
2θ 15.79, I 69
2θ 18.21, I 73
2θ 23.83, I 100
2θ 32.67, I 44
2θ 35.21, I 87
2θ 37.21, I 67
2θ 38.60, I 64
2θ 52.15, I 52

Theoretical XRD peak list
Compound: LiTb3Tl
Radiation: Cu Kα (λ = 1.5418 Å)
Structure: a cell relaxed with PBE

Atomic structure:
```
LiTb3Tl
1.0
2.553 -10.646 0.000
2.553 10.646 0.000
0.000 0.000 5.119
Li Tb Tl
2 6 2
Direct
0.153 0.847 0.750 Li
0.847 0.153 0.250 Li
0.056 0.944 0.250 Tb
0.249 0.751 0.250 Tb
0.438 0.562 0.250 Tb
0.562 0.438 0.750 Tb
0.751 0.249 0.750 Tb
0.944 0.056 0.750 Tb
0.342 0.658 0.750 Tl
0.658 0.342 0.250 Tl
```

Largest 8 diffraction maxima, in order of rising 2θ, 10° ≤ 2θ ≤ 90°:
2θ 19.24, I 12
2θ 21.44, I 13
2θ 32.49, I 100
2θ 35.10, I 43
2θ 50.49, I 16
2θ 56.23, I 18
2θ 61.27, I 16
2θ 61.39, I 16

Theoretical XRD peak list
Compound: Ho12Al6In
Radiation: Cu Kα (λ = 1.5418 Å)
Structure: a cell relaxed with PBE

Atomic structure:
```
Ho12Al6In
1.0
-5.046 5.046 5.046
5.046 -5.046 5.046
5.046 5.046 -5.046
Ho Al In
12 6 1
Direct
0.097 0.812 0.286 Ho
0.188 0.286 0.474 Ho
0.188 0.714 0.903 Ho
0.286 0.097 0.812 Ho
0.286 0.474 0.188 Ho
0.474 0.188 0.286 Ho
0.526 0.812 0.714 Ho
0.714 0.526 0.812 Ho
0.714 0.903 0.188 Ho
0.812 0.286 0.097 Ho
0.812 0.714 0.526 Ho
0.903 0.188 0.714 Ho
0.125 0.625 0.500 Al
0.375 0.500 0.875 Al
0.500 0.125 0.625 Al
0.500 0.875 0.375 Al
0.625 0.500 0.125 Al
0.875 0.375 0.500 Al
0.000 0.000 0.000 In
```

Largest 8 diffraction maxima, in order of rising 2θ, 10° ≤ 2θ ≤ 90°:
2θ 24.96, I 20
2θ 27.96, I 57
2θ 30.69, I 71
2θ 33.22, I 100
2θ 35.58, I 29
2θ 52.90, I 47
2θ 56.18, I 44
2θ 65.39, I 24

Theoretical XRD peak list
Compound: CsKGaAu
Radiation: Cu Kα (λ = 1.5418 Å)
Structure: a cell relaxed with PBE

Atomic structure:
```
CsKGaAu
1.0
4.029 -2.281 0.000
4.029 2.281 0.000
-2.672 0.000 9.559
Cs K Ga Au
1 1 1 1
Direct
0.000 0.000 0.000 Cs
0.827 0.827 0.479 K
0.574 0.574 0.721 Ga
0.242 0.242 0.720 Au
```

Largest 8 diffraction maxima, in order of rising 2θ, 10° ≤ 2θ ≤ 90°:
2θ 25.37, I 50
2θ 25.64, I 100
2θ 27.03, I 49
2θ 27.33, I 99
2θ 28.00, I 54
2θ 38.91, I 76
2θ 40.08, I 51
2θ 55.25, I 48